Diffraction record for BaMg2V2O8. The XRD peak list is calculated, not measured: it uses DFT lattice parameters and positions (GGA+U) and λ = 1.5418 Å (Cu Kα).
Kinematic intensities with the Lorentz-polarization factor, no thermal factor.

Top 6 peaks for 2θ from 10° to 90°, by intensity:
two_theta	intensity
30.6	100
31.8	72
36.8	65
22.9	54
61.7	44
25.0	41

Atomic structure:
```
data_BaMg2V2O8
_chemical_formula_sum 'Ba8 Mg16 V16 O64'
_space_group_name_H-M_alt 'I 41/a c d'
_space_group_IT_number 142
_cell_length_a 12.6007
_cell_length_b 12.6007
_cell_length_c 8.6160
_cell_angle_alpha 90.00
_cell_angle_beta 90.00
_cell_angle_gamma 90.00
loop_
_space_group_symop_operation_xyz
'x,y,z'
'-x,-y,-z'
'-y+1/4,x+3/4,z+1/4'
'y+1/4,-x+3/4,-z+1/4'
'-x+1/2,-y,z+1/2'
'x+1/2,y,-z+1/2'
'y+1/4,-x+1/4,z+3/4'
'-y+1/4,x+1/4,-z+3/4'
'x,-y,-z+1/2'
'-x,y,z+1/2'
'-y+1/4,-x+1/4,-z+1/4'
'y+1/4,x+1/4,z+1/4'
'-x+1/2,y,-z'
'x+1/2,-y,z'
'y+1/4,x+3/4,-z+3/4'
'-y+1/4,-x+3/4,z+3/4'
'x+1/2,y+1/2,z+1/2'
'-x+1/2,-y+1/2,-z+1/2'
'-y+3/4,x+1/4,z+3/4'
'y+3/4,-x+1/4,-z+3/4'
'-x,-y+1/2,z'
'x,y+1/2,-z'
'y+3/4,-x+3/4,z+1/4'
'-y+3/4,x+3/4,-z+1/4'
'x+1/2,-y+1/2,-z'
'-x+1/2,y+1/2,z'
'-y+3/4,-x+3/4,-z+3/4'
'y+3/4,x+3/4,z+3/4'
'-x,y+1/2,-z+1/2'
'x,-y+1/2,z+1/2'
'y+3/4,x+1/4,-z+1/4'
'-y+3/4,-x+1/4,z+1/4'
loop_
_atom_site_label
_atom_site_fract_x
_atom_site_fract_y
_atom_site_fract_z
_atom_site_occupancy
Ba1 0.0000 0.2500 0.3750 1
Mg1 0.1681 0.0819 0.1250 1
V1 0.0811 0.0000 0.7500 1
O1 0.0024 0.0881 0.1561 1
O2 0.1589 0.0723 0.8842 1
```